The following is a simulated powder X-ray diffraction pattern of V2Bi8O17. It was derived from a cell relaxed with GGA+U, using Cu Ka.
Intensities are scaled so that the largest is 100.

Atomic structure:
Unit cell a=4.197 b=4.197 c=31.735 alpha=95.02 beta=95.02 gamma=52.61
Atoms (fractional coordinates):
V  0.000  0.000  0.000
V  0.231  0.231  0.177
Bi  0.049  0.049  0.262
Bi  0.137  0.137  0.593
Bi  0.179  0.179  0.913
Bi  0.334  0.334  0.483
Bi  0.497  0.497  0.808
Bi  0.543  0.543  0.090
Bi  0.680  0.680  0.373
Bi  0.899  0.899  0.695
O  0.012  0.012  0.187
O  0.106  0.106  0.519
O  0.154  0.154  0.667
O  0.169  0.169  0.813
O  0.214  0.214  0.987
O  0.273  0.273  0.118
O  0.320  0.320  0.234
O  0.350  0.350  0.376
O  0.482  0.482  0.735
O  0.529  0.529  0.014
O  0.539  0.539  0.883
O  0.654  0.654  0.300
O  0.707  0.707  0.170
O  0.731  0.731  0.449
O  0.815  0.815  0.598
O  0.904  0.904  0.945
O  0.926  0.926  0.057

Main lines, most intense first (2θ from 10° to 80°):
two_theta  Rel. int.
28.45  100
25.34  77
32.71  34
31.14  24
28.26  24
55.93  23
44.80  23
48.97  21
43.52  20
28.63  16